[1]
This entry pairs a crystal structure of RbVCl5 with its calculated XRD peak list. Radiation: λ = 1.5418 Å (Cu Kα). Structure: a PBE-relaxed structure.
No peak broadening, texture or thermal motion is included.

```
RbVCl5
1.0
-3.780 5.281 3.299
3.780 -5.281 3.299
3.780 5.281 -3.299
Rb V Cl
1 1 5
direct
0.000 0.000 0.000
0.307 0.807 0.500
0.089 0.807 0.282
0.457 0.219 0.762
0.457 0.695 0.238
0.524 0.807 0.718
0.972 0.472 0.500
```

Top 10 peaks for 10° ≤ 2θ ≤ 90°, by intensity:
d 4.971, I = 100.0; d 5.281, I = 94.7; d 3.132, I = 93.6; d 2.400, I = 50.4; d 2.798, I = 44.8; d 5.596, I = 43.0; d 2.641, I = 41.7; d 3.780, I = 39.2; d 1.871, I = 37.9; d 2.907, I = 35.7

=====

[2]
This entry pairs a crystal structure of RbGa2Au3 with its calculated XRD peak list. Radiation: λ = 1.5418 Å (Cu Kα). Structure: a PBE-relaxed structure.
No peak broadening, texture or thermal motion is included.

```
RbGa2Au3
1.0
13.583 0.000 0.000
0.000 5.744 0.000
0.000 0.000 7.135
Rb Ga Au
4 8 12
direct
0.074 0.250 0.102
0.426 0.750 0.602
0.574 0.250 0.398
0.926 0.750 0.898
0.154 0.502 0.604
0.154 0.998 0.604
0.346 0.002 0.104
0.346 0.498 0.104
0.654 0.502 0.896
0.654 0.998 0.896
0.846 0.002 0.396
0.846 0.498 0.396
0.005 0.750 0.419
0.209 0.750 0.300
0.214 0.750 0.891
0.286 0.250 0.391
0.291 0.250 0.800
0.495 0.250 0.919
0.505 0.750 0.081
0.709 0.750 0.200
0.714 0.750 0.609
0.786 0.250 0.109
0.791 0.250 0.700
0.995 0.250 0.581
```

Top 10 peaks for 10° ≤ 2θ ≤ 90°, by intensity:
d 2.958, I = 100.0; d 6.317, I = 75.1; d 2.923, I = 71.4; d 2.207, I = 68.1; d 2.872, I = 66.8; d 2.091, I = 65.1; d 2.193, I = 64.5; d 2.022, I = 64.2; d 2.296, I = 54.1; d 2.802, I = 49.3

=====

[3]
This entry pairs a crystal structure of KAuI3 with its calculated XRD peak list. Radiation: λ = 1.5418 Å (Cu Kα). Structure: a PBE-relaxed structure.
No peak broadening, texture or thermal motion is included.

```
KAuI3
1.0
6.653 -7.793 0.000
6.653 7.793 0.000
-1.142 0.000 8.678
K Au I
4 4 12
direct
0.025 0.975 0.750
0.358 0.642 0.250
0.642 0.358 0.750
0.975 0.025 0.250
0.050 0.327 0.842
0.327 0.050 0.342
0.673 0.950 0.658
0.950 0.673 0.158
0.067 0.729 0.438
0.118 0.344 0.137
0.271 0.933 0.062
0.295 0.517 0.814
0.344 0.118 0.637
0.483 0.705 0.686
0.517 0.295 0.314
0.656 0.882 0.363
0.705 0.483 0.186
0.729 0.067 0.938
0.882 0.656 0.863
0.933 0.271 0.562
```

Top 10 peaks for 10° ≤ 2θ ≤ 90°, by intensity:
d 3.896, I = 100.0; d 2.980, I = 88.6; d 5.798, I = 80.3; d 3.356, I = 56.7; d 4.007, I = 47.2; d 2.709, I = 46.7; d 4.139, I = 45.3; d 6.923, I = 38.2; d 2.116, I = 36.2; d 6.596, I = 26.0

=====

Q: Number 2 is which compound?
A: RbGa2Au3